For YCo3P2, a structure optimized by DFT (GGA-PBE) gives the theoretical powder XRD pattern in this record (a wavelength of 1.5418 Å).

Cell and atoms:
a = 3.691 Å, b = 10.521 Å, c = 12.153 Å
α = 90.00°, β = 90.00°, γ = 90.00°
Sites, in units of the cell vectors:
1 Y 0.250 0.066 0.206
2 Y 0.250 0.250 0.477
3 Y 0.250 0.434 0.206
4 Y 0.750 0.566 0.794
5 Y 0.750 0.750 0.523
6 Y 0.750 0.934 0.794
7 Co 0.250 0.130 0.709
8 Co 0.250 0.250 0.014
9 Co 0.250 0.370 0.709
10 Co 0.250 0.547 0.431
11 Co 0.250 0.583 0.994
12 Co 0.250 0.750 0.159
13 Co 0.250 0.750 0.703
14 Co 0.250 0.917 0.994
15 Co 0.250 0.953 0.431
16 Co 0.750 0.047 0.569
17 Co 0.750 0.083 0.006
18 Co 0.750 0.250 0.297
19 Co 0.750 0.250 0.841
20 Co 0.750 0.417 0.006
21 Co 0.750 0.453 0.569
22 Co 0.750 0.630 0.291
23 Co 0.750 0.750 0.986
24 Co 0.750 0.870 0.291
25 P 0.250 0.099 0.893
26 P 0.250 0.401 0.893
27 P 0.250 0.560 0.616
28 P 0.250 0.750 0.344
29 P 0.250 0.750 0.883
30 P 0.250 0.940 0.616
31 P 0.750 0.060 0.384
32 P 0.750 0.250 0.117
33 P 0.750 0.250 0.656
34 P 0.750 0.440 0.384
35 P 0.750 0.599 0.107
36 P 0.750 0.901 0.107

Largest 8 diffraction maxima, low angle first, 2θ = 15–90°:
Position (°2θ)	I_rel
38.4	1000
39.4	79
40.9	112
49.4	220
52.1	153
52.2	90
74.7	129
85.1	88


For Tm3Np, a structure optimized by DFT (GGA-PBE) gives the theoretical powder XRD pattern in this record (a wavelength of 1.5418 Å).

Cell and atoms:
a = 4.875 Å, b = 4.875 Å, c = 4.875 Å
α = 90.00°, β = 90.00°, γ = 90.00°
Sites, in units of the cell vectors:
1 Tm 0.000 0.000 0.500
2 Tm 0.000 0.500 0.000
3 Tm 0.500 0.000 0.000
4 Np 0.500 0.500 0.500

Largest 8 diffraction maxima, low angle first, 2θ = 15–90°:
Position (°2θ)	I_rel
18.2	20
31.8	1000
36.9	506
53.1	360
63.3	428
66.4	123
78.5	58
87.1	184


For SmYIn2, a structure optimized by DFT (GGA-PBE) gives the theoretical powder XRD pattern in this record (a wavelength of 1.5418 Å).

Cell and atoms:
a = 7.612 Å, b = 7.612 Å, c = 7.612 Å
α = 90.00°, β = 90.00°, γ = 90.00°
Sites, in units of the cell vectors:
1 Sm 0.000 0.000 0.000
2 Sm 0.000 0.500 0.500
3 Sm 0.500 0.000 0.500
4 Sm 0.500 0.500 0.000
5 Y 0.000 0.000 0.500
6 Y 0.000 0.500 0.000
7 Y 0.500 0.000 0.000
8 Y 0.500 0.500 0.500
9 In 0.250 0.250 0.250
10 In 0.250 0.250 0.750
11 In 0.250 0.750 0.250
12 In 0.250 0.750 0.750
13 In 0.750 0.250 0.250
14 In 0.750 0.250 0.750
15 In 0.750 0.750 0.250
16 In 0.750 0.750 0.750

Largest 8 diffraction maxima, low angle first, 2θ = 15–90°:
Position (°2θ)	I_rel
20.2	34
33.3	1000
39.3	20
47.8	178
59.5	365
69.9	112
79.7	155
89.1	40


For CeSe2, a structure optimized by DFT (GGA-PBE) gives the theoretical powder XRD pattern in this record (a wavelength of 1.5418 Å).

Cell and atoms:
a = 8.349 Å, b = 14.692 Å, c = 17.629 Å
α = 90.00°, β = 90.00°, γ = 90.00°
Sites, in units of the cell vectors:
1 Ce 0.000 0.000 0.000
2 Ce 0.000 0.500 0.500
3 Ce 0.181 0.199 0.376
4 Ce 0.181 0.301 0.876
5 Ce 0.318 0.700 0.706
6 Ce 0.318 0.800 0.206
7 Ce 0.500 0.000 0.583
8 Ce 0.500 0.500 0.083
9 Ce 0.682 0.200 0.206
10 Ce 0.682 0.300 0.706
11 Ce 0.819 0.699 0.876
12 Ce 0.819 0.801 0.376
13 Se 0.125 0.664 0.829
14 Se 0.125 0.836 0.329
15 Se 0.174 0.121 0.916
16 Se 0.174 0.379 0.416
17 Se 0.204 0.603 0.586
18 Se 0.204 0.897 0.086
19 Se 0.300 0.104 0.497
20 Se 0.300 0.396 0.997
21 Se 0.322 0.620 0.167
22 Se 0.322 0.880 0.667
23 Se 0.375 0.168 0.254
24 Se 0.375 0.332 0.754
25 Se 0.625 0.668 0.754
26 Se 0.625 0.832 0.254
27 Se 0.678 0.120 0.667
28 Se 0.678 0.380 0.167
29 Se 0.700 0.604 0.997
30 Se 0.700 0.896 0.497
31 Se 0.796 0.103 0.086
32 Se 0.796 0.397 0.586
33 Se 0.826 0.621 0.416
34 Se 0.826 0.879 0.916
35 Se 0.875 0.164 0.329
36 Se 0.875 0.336 0.829

Largest 8 diffraction maxima, low angle first, 2θ = 15–90°:
Position (°2θ)	I_rel
15.7	585
15.8	1000
18.8	368
25.9	179
30.1	216
39.9	177
40.3	223
45.2	195


For Li4Cu3SbO8, a structure optimized by DFT (GGA-PBE) gives the theoretical powder XRD pattern in this record (a wavelength of 1.5418 Å).

Cell and atoms:
a = 5.979 Å, b = 5.979 Å, c = 5.979 Å
α = 60.56°, β = 60.56°, γ = 60.56°
Sites, in units of the cell vectors:
1 Li 0.000 0.000 0.000
2 Li 0.000 0.500 0.500
3 Li 0.500 0.000 0.500
4 Li 0.500 0.500 0.000
5 Cu 0.000 0.000 0.500
6 Cu 0.000 0.500 0.000
7 Cu 0.500 0.000 0.000
8 Sb 0.500 0.500 0.500
9 O 0.233 0.233 0.233
10 O 0.263 0.263 0.731
11 O 0.263 0.731 0.263
12 O 0.269 0.737 0.737
13 O 0.731 0.263 0.263
14 O 0.737 0.269 0.737
15 O 0.737 0.737 0.269
16 O 0.767 0.767 0.767

Largest 8 diffraction maxima, low angle first, 2θ = 15–90°:
Position (°2θ)	I_rel
18.2	1000
34.9	519
36.6	240
42.6	707
46.7	197
61.5	208
62.1	195
64.7	181


What did the fourth record say?
For CeSe2, a structure optimized by DFT (GGA-PBE) gives the theoretical powder XRD pattern in this record (a wavelength of 1.5418 Å).

Cell and atoms:
a = 8.349 Å, b = 14.692 Å, c = 17.629 Å
α = 90.00°, β = 90.00°, γ = 90.00°
Sites, in units of the cell vectors:
1 Ce 0.000 0.000 0.000
2 Ce 0.000 0.500 0.500
3 Ce 0.181 0.199 0.376
4 Ce 0.181 0.301 0.876
5 Ce 0.318 0.700 0.706
6 Ce 0.318 0.800 0.206
7 Ce 0.500 0.000 0.583
8 Ce 0.500 0.500 0.083
9 Ce 0.682 0.200 0.206
10 Ce 0.682 0.300 0.706
11 Ce 0.819 0.699 0.876
12 Ce 0.819 0.801 0.376
13 Se 0.125 0.664 0.829
14 Se 0.125 0.836 0.329
15 Se 0.174 0.121 0.916
16 Se 0.174 0.379 0.416
17 Se 0.204 0.603 0.586
18 Se 0.204 0.897 0.086
19 Se 0.300 0.104 0.497
20 Se 0.300 0.396 0.997
21 Se 0.322 0.620 0.167
22 Se 0.322 0.880 0.667
23 Se 0.375 0.168 0.254
24 Se 0.375 0.332 0.754
25 Se 0.625 0.668 0.754
26 Se 0.625 0.832 0.254
27 Se 0.678 0.120 0.667
28 Se 0.678 0.380 0.167
29 Se 0.700 0.604 0.997
30 Se 0.700 0.896 0.497
31 Se 0.796 0.103 0.086
32 Se 0.796 0.397 0.586
33 Se 0.826 0.621 0.416
34 Se 0.826 0.879 0.916
35 Se 0.875 0.164 0.329
36 Se 0.875 0.336 0.829

Largest 8 diffraction maxima, low angle first, 2θ = 15–90°:
Position (°2θ)	I_rel
15.7	585
15.8	1000
18.8	368
25.9	179
30.1	216
39.9	177
40.3	223
45.2	195


What did the second record say?
For Tm3Np, a structure optimized by DFT (GGA-PBE) gives the theoretical powder XRD pattern in this record (a wavelength of 1.5418 Å).

Cell and atoms:
a = 4.875 Å, b = 4.875 Å, c = 4.875 Å
α = 90.00°, β = 90.00°, γ = 90.00°
Sites, in units of the cell vectors:
1 Tm 0.000 0.000 0.500
2 Tm 0.000 0.500 0.000
3 Tm 0.500 0.000 0.000
4 Np 0.500 0.500 0.500

Largest 8 diffraction maxima, low angle first, 2θ = 15–90°:
Position (°2θ)	I_rel
18.2	20
31.8	1000
36.9	506
53.1	360
63.3	428
66.4	123
78.5	58
87.1	184